# 1
# MgHg22N6
Calculated powder X-ray diffraction pattern, λ = 1.5418 Å (Cu Kα). Input: the PBE geometry in the Materials Project.

The 10 most intense peaks (15° ≤ 2θ ≤ 90°), in order of falling intensity:
2θ 33.42, d = 2.681 Å, I = 100.0, (3 1 0)
2θ 27.22, d = 3.276 Å, I = 96.0, (1 2 3)
2θ 40.14, d = 2.246 Å, I = 77.3, (1 2 7)
2θ 38.31, d = 2.350 Å, I = 66.4, (3 1 4)
2θ 33.84, d = 2.649 Å, I = 60.7, (1 0 7)
2θ 32.00, d = 2.797 Å, I = 57.2, (3 0 1)
2θ 18.18, d = 4.880 Å, I = 50.5, (0 0 4)
2θ 27.88, d = 3.200 Å, I = 49.5, (2 0 4)
2θ 47.99, d = 1.896 Å, I = 46.0, (2 4 0)
2θ 50.79, d = 1.798 Å, I = 43.5, (2 3 7)

Atomic structure:
a = 8.478 Å, b = 8.478 Å, c = 19.521 Å
α = 90.00°, β = 90.00°, γ = 90.00°
Space group I4/m (No. 87)
Inequivalent atoms, fractional coordinates:
Mg 0.000 0.000 0.000 x2
Hg 0.000 0.000 0.283 x4
Hg 0.000 0.000 0.426 x4
Hg 0.000 0.500 0.250 x4
Hg 0.071 0.661 0.422 x16
Hg 0.121 0.741 0.141 x16
N 0.000 0.000 0.169 x4
N 0.101 0.245 0.000 x8

# 2
# NbCr3
Calculated powder X-ray diffraction pattern, λ = 1.5418 Å (Cu Kα). Input: the PBE geometry in the Materials Project.

The 10 most intense peaks (15° ≤ 2θ ≤ 90°), in order of falling intensity:
2θ 42.89, d = 2.109 Å, I = 100.0, (2 2 0)
2θ 78.58, d = 1.217 Å, I = 29.1, (4 2 2)
2θ 62.27, d = 1.491 Å, I = 15.1, (4 0 0)
2θ 25.87, d = 3.443 Å, I = 6.9, (1 1 1)
2θ 29.96, d = 2.982 Å, I = 3.6, (2 0 0)
2θ 50.77, d = 1.798 Å, I = 3.6, (3 1 1)
2θ 68.58, d = 1.368 Å, I = 1.5, (3 3 1)
2θ 70.63, d = 1.334 Å, I = 1.4, (4 2 0)
2θ 84.39, d = 1.148 Å, I = 1.2, (5 1 1)
2θ 53.20, d = 1.722 Å, I = 1.0, (2 2 2)

Atomic structure:
a = 5.964 Å, b = 5.964 Å, c = 5.964 Å
α = 90.00°, β = 90.00°, γ = 90.00°
Space group Fm-3m (No. 225)
Inequivalent atoms, fractional coordinates:
Nb 0.000 0.000 0.000 x4
Cr 0.000 0.000 0.500 x4
Cr 0.250 0.250 0.250 x8

# 3
# Pr3Cr
Calculated powder X-ray diffraction pattern, λ = 1.5418 Å (Cu Kα). Input: the PBE geometry in the Materials Project.

The 10 most intense peaks (15° ≤ 2θ ≤ 90°), in order of falling intensity:
2θ 32.23, d = 2.778 Å, I = 100.0, (2 2 0)
2θ 57.47, d = 1.604 Å, I = 37.6, (4 2 2)
2θ 46.22, d = 1.964 Å, I = 18.2, (4 0 0)
2θ 76.72, d = 1.242 Å, I = 15.9, (6 2 0)
2θ 67.44, d = 1.389 Å, I = 11.5, (4 4 0)
2θ 19.57, d = 4.536 Å, I = 7.4, (1 1 1)
2θ 37.99, d = 2.369 Å, I = 4.3, (3 1 1)
2θ 85.66, d = 1.134 Å, I = 4.0, (4 4 4)
2θ 22.64, d = 3.928 Å, I = 4.0, (2 0 0)
2θ 50.65, d = 1.802 Å, I = 2.0, (3 3 1)

Atomic structure:
a = 7.856 Å, b = 7.856 Å, c = 7.856 Å
α = 90.00°, β = 90.00°, γ = 90.00°
Space group Fm-3m (No. 225)
Inequivalent atoms, fractional coordinates:
Pr 0.000 0.000 0.000 x4
Pr 0.250 0.250 0.250 x8
Cr 0.000 0.000 0.500 x4